Structure and theoretical XRD peak list of Er4TlCd2 (DFT lattice parameters and positions (GGA-PBE); λ = 1.5418 Å (Cu Kα)).

a b c (Å): 8.932 8.932 8.932
angles (deg): 33.85 33.85 33.85
Fractional coordinates of all 7 atoms:
Er 0.117 0.117 0.117
Er 0.370 0.370 0.370
Er 0.630 0.630 0.630
Er 0.883 0.883 0.883
Tl 0.500 0.500 0.500
Cd 0.248 0.248 0.248
Cd 0.752 0.752 0.752

Top 10 peaks for 2θ = 10–90°, low angle first:
| 2θ/deg | Rel. int. |
| --- | --- |
| 26.5 | 13 |
| 31.8 | 13 |
| 34.5 | 100 |
| 34.7 | 91 |
| 49.7 | 33 |
| 61.8 | 18 |
| 61.9 | 34 |
| 62.4 | 13 |
| 83.2 | 15 |
| 83.6 | 12 |